[1]
Calculated X-ray powder pattern of LiBe3 for Cu Kα, 1.54184 Å, from a cell relaxed with PBE.
Kinematic intensities with the Lorentz-polarization factor, no thermal factor.

Most intense lines, 2θ from 10° to 90°, by intensity:
two_theta	Rel. int.
50.05	100.0
12.76	84.0
55.65	83.7
18.47	75.8
43.76	68.2
49.67	41.5
48.99	34.2
37.19	22.5
54.66	20.7
38.95	16.3

Crystal structure
Lattice parameters (Å, degrees): 10.173 2.229 7.433 90.00 111.05 90.00
Space group C2/m (No. 12)
One atom of each set of equivalent atoms:
Li1 0.115 0.000 0.180 x4
Be1 0.029 0.500 0.650 x4
Be2 0.166 0.000 0.533 x4
Be3 0.172 0.000 0.884 x4

[2]
Calculated X-ray powder pattern of LiBe3 for Cu Kα, 1.54184 Å, from a cell relaxed with PBE.
Kinematic intensities with the Lorentz-polarization factor, no thermal factor.

Most intense lines, 2θ from 10° to 90°, by intensity:
two_theta	Rel. int.
49.25	100.0
50.19	51.7
22.52	48.3
50.41	47.8
52.50	26.8
82.03	23.8
17.84	22.5
45.98	21.1
42.01	19.7
50.56	12.2

Crystal structure
Lattice parameters (Å, degrees): 3.620 4.301 9.944 90.00 90.00 90.00
Space group Imma (No. 74)
One atom of each set of equivalent atoms:
Li1 0.000 0.250 0.166 x4
Be1 0.000 0.000 0.500 x4
Be2 0.000 0.250 0.695 x4
Be3 0.000 0.250 0.928 x4

[3]
Calculated X-ray powder pattern of LiBe for Cu Kα, 1.54184 Å, from a cell relaxed with PBE.
Kinematic intensities with the Lorentz-polarization factor, no thermal factor.

Most intense lines, 2θ from 10° to 90°, by intensity:
two_theta	Rel. int.
44.76	100.0
44.30	64.2
44.09	44.7
48.92	38.2
42.67	32.4
46.58	27.7
21.95	21.9
55.99	18.0
63.20	17.0
54.80	14.9

Crystal structure
Lattice parameters (Å, degrees): 4.738 4.738 7.799 90.00 90.00 90.00
Space group P4_12_12 (No. 92)
One atom of each set of equivalent atoms:
Li1 0.069 0.183 0.358 x8
Be1 0.060 0.317 0.916 x8

[4]
Calculated X-ray powder pattern of Li5Be3 for Cu Kα, 1.54184 Å, from a cell relaxed with PBE.
Kinematic intensities with the Lorentz-polarization factor, no thermal factor.

Most intense lines, 2θ from 10° to 90°, by intensity:
two_theta	Rel. int.
17.27	100.0
40.28	49.2
38.62	36.5
38.88	35.4
44.42	29.9
50.31	26.7
37.69	24.4
37.53	23.9
12.58	16.2
49.71	14.9

Crystal structure
Lattice parameters (Å, degrees): 4.298 7.036 7.794 89.93 74.43 89.92
Space group P1 (No. 1)
One atom of each set of equivalent atoms:
Li1 0.000 0.000 0.000 x1
Li2 0.069 0.538 0.864 x1
Li3 0.184 0.192 0.633 x1
Li4 0.275 0.702 0.451 x1
Li5 0.384 0.073 0.232 x1
Li6 0.499 0.734 0.000 x1
Li7 0.569 0.194 0.864 x1
Li8 0.683 0.541 0.633 x1
Li9 0.777 0.032 0.451 x1
Li10 0.883 0.661 0.232 x1
Be1 0.069 0.368 0.371 x1
Be2 0.389 0.867 0.722 x1
Be3 0.436 0.405 0.130 x1
Be4 0.568 0.367 0.371 x1
Be5 0.889 0.866 0.723 x1
Be6 0.936 0.329 0.130 x1

[5]
Calculated X-ray powder pattern of LiBe3 for Cu Kα, 1.54184 Å, from a cell relaxed with PBE.
Kinematic intensities with the Lorentz-polarization factor, no thermal factor.

Most intense lines, 2θ from 10° to 90°, by intensity:
two_theta	Rel. int.
11.64	100.0
52.21	46.8
47.65	46.2
46.29	27.5
47.50	18.2
56.07	9.5
52.81	8.2
78.10	8.1
75.84	6.6
48.87	4.7

Crystal structure
Lattice parameters (Å, degrees): 8.053 2.447 7.994 90.00 108.05 90.00
Space group C2/m (No. 12)
One atom of each set of equivalent atoms:
Li1 0.107 0.000 0.434 x4
Be1 0.092 0.500 0.169 x4
Be2 0.132 0.000 0.960 x4
Be3 0.171 0.500 0.746 x4

[6]
Calculated X-ray powder pattern of LiBe for Cu Kα, 1.54184 Å, from a cell relaxed with PBE.
Kinematic intensities with the Lorentz-polarization factor, no thermal factor.

Most intense lines, 2θ from 10° to 90°, by intensity:
two_theta	Rel. int.
13.96	100.0
49.06	55.1
44.30	54.3
42.02	39.6
43.73	20.2
69.81	15.2
40.52	14.1
85.37	11.3
54.24	9.6
88.89	9.1

Crystal structure
Lattice parameters (Å, degrees): 8.647 2.563 6.786 90.00 110.84 90.00
Space group C2/m (No. 12)
One atom of each set of equivalent atoms:
Li1 0.000 0.000 0.000 x2
Li2 0.181 0.500 0.791 x4
Be1 0.000 0.000 0.500 x2
Be2 0.153 0.500 0.391 x4

[7]
Calculated X-ray powder pattern of LiBe2 for Cu Kα, 1.54184 Å, from a cell relaxed with PBE.
Kinematic intensities with the Lorentz-polarization factor, no thermal factor.

Most intense lines, 2θ from 10° to 90°, by intensity:
two_theta	Rel. int.
10.50	100.0
54.33	14.3
49.45	12.0
42.94	7.2
41.44	6.7
52.90	5.6
33.51	4.9
70.41	3.3
50.74	3.1
69.35	1.9

Crystal structure
Lattice parameters (Å, degrees): 2.363 16.850 3.462 90.00 90.00 90.00
Space group Cmcm (No. 63)
One atom of each set of equivalent atoms:
Li1 0.000 0.180 0.250 x4
Be1 0.000 0.068 0.750 x4
Be2 0.000 0.456 0.750 x4

[8]
Calculated X-ray powder pattern of LiBe for Cu Kα, 1.54184 Å, from a cell relaxed with PBE.
Kinematic intensities with the Lorentz-polarization factor, no thermal factor.

Most intense lines, 2θ from 10° to 90°, by intensity:
two_theta	Rel. int.
46.82	100.0
41.70	38.4
42.59	26.0
79.76	20.9
23.05	18.5
61.12	17.7
80.98	9.8
89.94	8.4
75.26	6.7
37.97	6.5

Crystal structure
Lattice parameters (Å, degrees): 2.525 4.332 8.492 90.00 90.00 90.00
Space group Imma (No. 74)
One atom of each set of equivalent atoms:
Li1 0.000 0.250 0.108 x4
Be1 0.000 0.250 0.651 x4

What did the sixth record say?
Calculated X-ray powder pattern of LiBe for Cu Kα, 1.54184 Å, from a cell relaxed with PBE.
Kinematic intensities with the Lorentz-polarization factor, no thermal factor.

Most intense lines, 2θ from 10° to 90°, by intensity:
two_theta	Rel. int.
13.96	100.0
49.06	55.1
44.30	54.3
42.02	39.6
43.73	20.2
69.81	15.2
40.52	14.1
85.37	11.3
54.24	9.6
88.89	9.1

Crystal structure
Lattice parameters (Å, degrees): 8.647 2.563 6.786 90.00 110.84 90.00
Space group C2/m (No. 12)
One atom of each set of equivalent atoms:
Li1 0.000 0.000 0.000 x2
Li2 0.181 0.500 0.791 x4
Be1 0.000 0.000 0.500 x2
Be2 0.153 0.500 0.391 x4

Which formula does entry 6 have? LiBe